Starting from the PBE+U geometry in Alexandria, the powder X-ray diffraction pattern of LiMn3OF5 was simulated for copper Kα.
Intensities are scaled so that the largest is 100.

Cell and atoms:
Cell: 8.721 8.721 10.142 Å, 124.67 124.67 70.75°
Fractional positions:
Li1 0.232 0.768 0.500
Li2 0.247 0.740 0.996
Li3 0.740 0.247 0.496
Li4 0.768 0.232 0.000
Mn1 0.008 0.015 0.757
Mn2 0.015 0.008 0.257
Mn3 0.044 0.562 0.082
Mn4 0.220 0.312 0.788
Mn5 0.312 0.220 0.288
Mn6 0.487 0.995 0.019
Mn7 0.496 0.515 0.822
Mn8 0.515 0.496 0.322
Mn9 0.562 0.044 0.582
Mn10 0.737 0.809 0.787
Mn11 0.809 0.737 0.287
Mn12 0.995 0.487 0.519
O1 0.015 0.802 0.291
O2 0.227 0.525 0.760
O3 0.525 0.227 0.260
O4 0.802 0.015 0.791
F1 0.001 0.309 0.831
F2 0.002 0.756 0.985
F3 0.046 0.268 0.282
F4 0.047 0.738 0.552
F5 0.216 0.983 0.998
F6 0.241 0.491 0.306
F7 0.268 0.046 0.782
F8 0.309 0.001 0.331
F9 0.312 0.529 0.084
F10 0.475 0.785 0.518
F11 0.491 0.241 0.806
F12 0.529 0.312 0.584
F13 0.531 0.733 0.799
F14 0.536 0.774 0.089
F15 0.733 0.531 0.299
F16 0.738 0.047 0.052
F17 0.756 0.002 0.485
F18 0.774 0.536 0.589
F19 0.785 0.475 0.018
F20 0.983 0.216 0.498

Most intense lines, 2θ from 10° to 80°, sorted by position:
d = 5.083 Å, 17.45°, I 31; d = 4.175 Å, 21.28°, I 17; d = 4.116 Å, 21.59°, I 26; d = 3.582 Å, 24.86°, I 38; d = 2.949 Å, 30.31°, I 100; d = 2.907 Å, 30.76°, I 84; d = 2.259 Å, 39.91°, I 14; d = 2.148 Å, 42.08°, I 21; d = 1.817 Å, 50.22°, I 19; d = 1.793 Å, 50.93°, I 36; d = 1.789 Å, 51.06°, I 32; d = 1.778 Å, 51.40°, I 17